# Ce3FeSi6Ni2
Simulated powder XRD pattern, Cu Ka. Input: a structure optimized by DFT (GGA-PBE).

Largest 12 diffraction maxima, low angle first, 5 to 70 degrees two-theta:
Position (°2θ), Rel. int., h k l
21.46, 27, 1 0 1
30.32, 69, 0 1 2
30.75, 100, 1 1 0
37.09, 18, 0 0 3
37.81, 36, 0 2 1
41.34, 12, 1 0 3
43.73, 52, 2 0 2
48.93, 18, 1 1 3
52.40, 10, 0 2 3
54.41, 25, 1 2 2
54.68, 18, 3 0 0
64.05, 21, 2 2 0

Cell and atoms:
Lattice parameters (Å, degrees): 5.8151 5.8151 7.2708 90.00 90.00 120.00
Space group P-3m1 (No. 164)
Inequivalent atoms, fractional coordinates:
Ce 0.0000 0.0000 0.0000 (multiplicity 1)
Ce 0.3333 0.6667 0.6901 (multiplicity 2)
Fe 0.0000 0.0000 0.5000 (multiplicity 1)
Si 0.1919 0.3838 0.3227 (multiplicity 6)
Ni 0.3333 0.6667 0.0680 (multiplicity 2)

=====

# Ce2ZnFe2Ni5
Simulated powder XRD pattern, Cu Ka. Input: a structure optimized by DFT (GGA-PBE).

Largest 12 diffraction maxima, low angle first, 5 to 70 degrees two-theta:
Position (°2θ), Rel. int., h k l
23.05, 10, 0 0 1
31.08, 19, 2 0 1
32.80, 38, 2 1 1
37.55, 30, 2 2 1
40.45, 100, 3 1 1
43.16, 41, 4 1 0
44.49, 49, 3 3 0
47.10, 42, 0 0 2
48.28, 9, 4 0 1
65.80, 25, 4 1 2
66.80, 12, 3 3 2
69.69, 8, 6 0 1

Cell and atoms:
Lattice parameters (Å, degrees): 8.642 8.642 3.857 90.00 90.00 90.00
Space group P4/mbm (No. 127)
Inequivalent atoms, fractional coordinates:
Ce 0.179 0.321 0.000 (multiplicity 4)
Zn 0.000 0.000 0.000 (multiplicity 2)
Fe 0.136 0.636 0.000 (multiplicity 4)
Ni 0.000 0.500 0.500 (multiplicity 2)
Ni 0.061 0.797 0.500 (multiplicity 8)